[1]
Sr4Zn3F14: calculated XRD peak list (Cu Ka), based on a PBE-relaxed structure.

Main lines, low angle first (2θ = 10–80°):
2θ 25.81, d = 3.452 Å, I = 43, hkl 1 1 0
2θ 28.66, d = 3.114 Å, I = 57, hkl 1 1 1
2θ 28.89, d = 3.091 Å, I = 100, hkl 1 0 2
2θ 29.89, d = 2.990 Å, I = 45, hkl 2 0 0
2θ 32.41, d = 2.762 Å, I = 56, hkl 2 0 1
2θ 45.51, d = 1.993 Å, I = 35, hkl 3 0 0
2θ 47.46, d = 1.916 Å, I = 87, hkl 2 1 2
2θ 48.56, d = 1.875 Å, I = 28, hkl 2 0 3
2θ 50.56, d = 1.805 Å, I = 26, hkl 0 0 4
2θ 53.06, d = 1.726 Å, I = 28, hkl 2 2 0
2θ 61.54, d = 1.507 Å, I = 23, hkl 3 1 2
2θ 73.91, d = 1.282 Å, I = 23, hkl 3 2 2

Structure:
Unit cell a=6.9041 b=6.9041 c=7.2208 alpha=90.00 beta=90.00 gamma=120.00
Space group P-62m (No. 189)
Inequivalent atoms, fractional coordinates:
Sr 0.0000 0.0000 0.2403 (multiplicity 2)
Sr 0.3333 0.6667 0.0000 (multiplicity 2)
Zn 0.0000 0.5350 0.5000 (multiplicity 3)
F 0.0000 0.2388 0.5000 (multiplicity 3)
F 0.0000 0.2655 0.0000 (multiplicity 3)
F 0.0000 0.6074 0.2326 (multiplicity 6)
F 0.3333 0.6667 0.5000 (multiplicity 2)

---

[2]
KRb2ScCl6: calculated XRD peak list (Cu Ka), based on a PBE-relaxed structure.

Main lines, low angle first (2θ = 10–80°):
2θ 22.91, d = 3.882 Å, I = 85, hkl 2 2 0
2θ 28.16, d = 3.169 Å, I = 82, hkl 2 2 2
2θ 32.62, d = 2.745 Å, I = 100, hkl 4 0 0
2θ 40.24, d = 2.241 Å, I = 34, hkl 4 2 2
2θ 46.81, d = 1.941 Å, I = 63, hkl 4 4 0
2θ 52.73, d = 1.736 Å, I = 21, hkl 6 2 0
2θ 55.52, d = 1.655 Å, I = 27, hkl 6 2 2
2θ 58.22, d = 1.585 Å, I = 20, hkl 4 4 4
2θ 63.40, d = 1.467 Å, I = 21, hkl 6 4 2
2θ 73.14, d = 1.294 Å, I = 9, hkl 6 6 0
2θ 75.49, d = 1.259 Å, I = 9, hkl 6 6 2
2θ 77.81, d = 1.227 Å, I = 23, hkl 8 4 0

Structure:
Unit cell a=10.9788 b=10.9788 c=10.9788 alpha=90.00 beta=90.00 gamma=90.00
Space group Fm-3m (No. 225)
Inequivalent atoms, fractional coordinates:
K 0.0000 0.0000 0.0000 (multiplicity 4)
Rb 0.2500 0.2500 0.2500 (multiplicity 8)
Sc 0.0000 0.0000 0.5000 (multiplicity 4)
Cl 0.0000 0.0000 0.2725 (multiplicity 24)

---

[3]
TaPd: calculated XRD peak list (Cu Ka), based on a PBE-relaxed structure.

Main lines, low angle first (2θ = 10–80°):
2θ 19.01, d = 4.667 Å, I = 11, hkl 0 0 3
2θ 36.65, d = 2.452 Å, I = 7, hkl 1 0 1
2θ 38.36, d = 2.347 Å, I = 100, hkl 0 1 2
2θ 38.58, d = 2.334 Å, I = 33, hkl 0 0 6
2θ 44.65, d = 2.029 Å, I = 65, hkl 1 0 4
2θ 48.94, d = 1.861 Å, I = 3, hkl 0 1 5
2θ 64.84, d = 1.438 Å, I = 21, hkl 1 1 0
2θ 65.14, d = 1.432 Å, I = 21, hkl 0 1 8
2θ 68.25, d = 1.374 Å, I = 2, hkl 1 1 3
2θ 77.92, d = 1.226 Å, I = 13, hkl 2 0 2
2θ 78.06, d = 1.224 Å, I = 25, hkl 1 1 6
2θ 78.34, d = 1.221 Å, I = 12, hkl 1 0 10

Structure:
Unit cell a=2.8760 b=2.8760 c=14.0025 alpha=90.00 beta=90.00 gamma=120.00
Space group R-3m (No. 166, hexagonal axes)
Inequivalent atoms, fractional coordinates:
Ta 0.0000 0.0000 0.0000 (multiplicity 3)
Pd 0.0000 0.0000 0.5000 (multiplicity 3)

---

[4]
NaC2NO3: calculated XRD peak list (Cu Ka), based on a PBE-relaxed structure.

Main lines, low angle first (2θ = 10–80°):
2θ 16.92, d = 5.239 Å, I = 46, hkl 0 1 1
2θ 17.50, d = 5.068 Å, I = 30, hkl 0 0 4
2θ 27.47, d = 3.247 Å, I = 16, hkl 0 1 5
2θ 28.19, d = 3.166 Å, I = 54, hkl 1 0 -4
2θ 29.90, d = 2.988 Å, I = 20, hkl 1 1 0
2θ 30.06, d = 2.973 Å, I = 100, hkl 1 1 -2
2θ 31.12, d = 2.874 Å, I = 64, hkl 1 1 -3
2θ 32.80, d = 2.731 Å, I = 16, hkl 1 0 4
2θ 35.43, d = 2.534 Å, I = 46, hkl 0 0 8
2θ 39.24, d = 2.296 Å, I = 22, hkl 0 1 8
2θ 45.23, d = 2.005 Å, I = 23, hkl 1 2 3
2θ 51.03, d = 1.790 Å, I = 15, hkl 2 0 0

Structure:
Unit cell a=3.6248 b=5.4232 c=20.5219 alpha=90.00 beta=98.96 gamma=90.00
Space group P2_1/c (No. 14)
Inequivalent atoms, fractional coordinates:
Na 0.1657 0.1636 0.1897 (multiplicity 4)
C 0.3368 0.5847 0.0898 (multiplicity 4)
C 0.4185 0.1554 0.3420 (multiplicity 4)
N 0.2928 0.7419 0.5430 (multiplicity 4)
O 0.1890 0.1252 0.5828 (multiplicity 4)
O 0.3317 0.1207 0.8340 (multiplicity 4)
O 0.3423 0.5193 0.8015 (multiplicity 4)

---

[5]
YV2Fe10N: calculated XRD peak list (Cu Ka), based on a PBE-relaxed structure.

Main lines, low angle first (2θ = 10–80°):
2θ 36.62, d = 2.454 Å, I = 22, hkl 1 0 3
2θ 36.89, d = 2.436 Å, I = 21, hkl 1 3 0
2θ 37.89, d = 2.375 Å, I = 21, hkl 2 0 0
2θ 42.03, d = 2.150 Å, I = 50, hkl 0 0 4
2θ 42.50, d = 2.127 Å, I = 100, hkl 0 4 0
2θ 42.65, d = 2.120 Å, I = 61, hkl 1 3 2
2θ 43.54, d = 2.079 Å, I = 53, hkl 2 0 2
2θ 43.65, d = 2.074 Å, I = 48, hkl 2 2 0
2θ 47.66, d = 1.908 Å, I = 32, hkl 0 4 2
2θ 48.02, d = 1.895 Å, I = 17, hkl 1 4 1
2θ 48.75, d = 1.868 Å, I = 59, hkl 2 2 2
2θ 71.66, d = 1.317 Å, I = 23, hkl 3 3 2

Structure:
Unit cell a=4.7490 b=8.5148 c=8.5992 alpha=90.00 beta=90.00 gamma=90.00
Space group Immm (No. 71)
Inequivalent atoms, fractional coordinates:
Y 0.0000 0.0000 0.0000 (multiplicity 2)
V 0.0000 0.0000 0.3590 (multiplicity 4)
Fe 0.0000 0.2753 0.5000 (multiplicity 4)
Fe 0.0000 0.3607 0.0000 (multiplicity 4)
Fe 0.0000 0.5000 0.2768 (multiplicity 4)
Fe 0.2500 0.2500 0.2500 (multiplicity 8)
N 0.0000 0.5000 0.5000 (multiplicity 2)

---

[6]
Sr2Mg: calculated XRD peak list (Cu Ka), based on a PBE-relaxed structure.

Main lines, low angle first (2θ = 10–80°):
2θ 24.31, d = 3.661 Å, I = 39, hkl 1 0 0
2θ 25.30, d = 3.520 Å, I = 35, hkl 0 0 5
2θ 26.37, d = 3.380 Å, I = 63, hkl 1 0 2
2θ 28.74, d = 3.106 Å, I = 100, hkl 0 1 3
2θ 35.37, d = 2.537 Å, I = 23, hkl 1 0 5
2θ 42.78, d = 2.114 Å, I = 34, hkl 1 1 0
2θ 43.67, d = 2.073 Å, I = 13, hkl 1 0 7
2θ 48.26, d = 1.886 Å, I = 24, hkl 0 1 8
2θ 50.35, d = 1.812 Å, I = 31, hkl 1 1 5
2θ 50.95, d = 1.792 Å, I = 10, hkl 0 2 2
2θ 52.35, d = 1.748 Å, I = 18, hkl 2 0 3
2θ 69.83, d = 1.347 Å, I = 15, hkl 1 2 3

Structure:
Unit cell a=4.2277 b=4.2277 c=17.5989 alpha=90.00 beta=90.00 gamma=120.00
Space group P-3m1 (No. 164)
Inequivalent atoms, fractional coordinates:
Sr 0.3333 0.6667 0.2966 (multiplicity 2)
Sr 0.3333 0.6667 0.9027 (multiplicity 2)
Mg 0.3333 0.6667 0.5519 (multiplicity 2)